[1]
The following is a computed XRD peak list of ErAl2Cu5. It was derived from the GGA-PBE geometry in Alexandria, using Cu Kα X-rays.
Lines closer than 0.1° are merged.

a = 3.554 Å, b = 6.903 Å, c = 10.066 Å
α = 90.00°, β = 90.00°, γ = 90.00°
Atoms (fractional coordinates):
Er1 0.000 0.000 0.000
Er2 0.500 0.500 0.500
Al1 0.000 0.500 0.249
Al2 0.000 0.500 0.751
Al3 0.500 0.000 0.251
Al4 0.500 0.000 0.749
Cu1 0.000 0.192 0.371
Cu2 0.000 0.192 0.629
Cu3 0.000 0.500 0.000
Cu4 0.000 0.808 0.371
Cu5 0.000 0.808 0.629
Cu6 0.500 0.000 0.500
Cu7 0.500 0.308 0.129
Cu8 0.500 0.308 0.871
Cu9 0.500 0.692 0.129
Cu10 0.500 0.692 0.871

Principal peaks in the range 2θ from 10° to 90°, sorted by position:
| d [Å] | Rel. int. |
| --- | --- |
| 5.033 | 31 |
| 2.440 | 72 |
| 2.404 | 100 |
| 2.033 | 52 |
| 1.777 | 22 |
| 1.338 | 25 |


[2]
The following is a computed XRD peak list of ErAl6Cu12. It was derived from the GGA-PBE geometry in Alexandria, using Cu Kα X-rays.
Lines closer than 0.1° are merged.

a = 6.822 Å, b = 6.822 Å, c = 6.822 Å
α = 104.33°, β = 104.33°, γ = 104.33°
Atoms (fractional coordinates):
Er1 0.000 0.000 0.000
Al1 0.287 0.287 0.701
Al2 0.287 0.701 0.287
Al3 0.299 0.713 0.713
Al4 0.701 0.287 0.287
Al5 0.713 0.299 0.713
Al6 0.713 0.713 0.299
Cu1 0.112 0.500 0.888
Cu2 0.112 0.888 0.500
Cu3 0.120 0.371 0.371
Cu4 0.371 0.120 0.371
Cu5 0.371 0.371 0.120
Cu6 0.500 0.112 0.888
Cu7 0.500 0.888 0.112
Cu8 0.629 0.629 0.880
Cu9 0.629 0.880 0.629
Cu10 0.880 0.629 0.629
Cu11 0.888 0.112 0.500
Cu12 0.888 0.500 0.112

Principal peaks in the range 2θ from 10° to 90°, sorted by position:
| d [Å] | Rel. int. |
| --- | --- |
| 3.115 | 26 |
| 2.483 | 58 |
| 2.473 | 100 |
| 1.914 | 25 |
| 1.907 | 28 |
| 1.705 | 35 |


[3]
The following is a computed XRD peak list of Er6Al7Cu16. It was derived from the GGA-PBE geometry in Alexandria, using Cu Kα X-rays.
Lines closer than 0.1° are merged.

a = 8.678 Å, b = 8.678 Å, c = 8.678 Å
α = 60.00°, β = 60.00°, γ = 60.00°
Atoms (fractional coordinates):
Er1 0.211 0.211 0.789
Er2 0.211 0.789 0.211
Er3 0.211 0.789 0.789
Er4 0.789 0.211 0.211
Er5 0.789 0.211 0.789
Er6 0.789 0.789 0.211
Al1 0.000 0.000 0.500
Al2 0.000 0.500 0.000
Al3 0.000 0.500 0.500
Al4 0.500 0.000 0.000
Al5 0.500 0.000 0.500
Al6 0.500 0.500 0.000
Al7 0.500 0.500 0.500
Cu1 0.136 0.621 0.621
Cu2 0.173 0.173 0.173
Cu3 0.173 0.173 0.481
Cu4 0.173 0.481 0.173
Cu5 0.379 0.379 0.379
Cu6 0.379 0.379 0.864
Cu7 0.379 0.864 0.379
Cu8 0.481 0.173 0.173
Cu9 0.519 0.827 0.827
Cu10 0.621 0.136 0.621
Cu11 0.621 0.621 0.136
Cu12 0.621 0.621 0.621
Cu13 0.827 0.519 0.827
Cu14 0.827 0.827 0.519
Cu15 0.827 0.827 0.827
Cu16 0.864 0.379 0.379

Principal peaks in the range 2θ from 10° to 90°, sorted by position:
| d [Å] | Rel. int. |
| --- | --- |
| 3.543 | 64 |
| 2.505 | 30 |
| 2.362 | 100 |
| 2.170 | 94 |
| 1.446 | 23 |
| 1.186 | 21 |


[4]
The following is a computed XRD peak list of ErAlGa2Cu. It was derived from the GGA-PBE geometry in Alexandria, using Cu Kα X-rays.
Lines closer than 0.1° are merged.

a = 4.029 Å, b = 4.029 Å, c = 10.907 Å
α = 90.00°, β = 90.00°, γ = 90.00°
Atoms (fractional coordinates):
Er1 0.000 0.000 0.000
Er2 0.500 0.500 0.500
Al1 0.000 0.500 0.250
Al2 0.500 0.000 0.750
Ga1 0.000 0.000 0.389
Ga2 0.000 0.000 0.611
Ga3 0.500 0.500 0.111
Ga4 0.500 0.500 0.889
Cu1 0.000 0.500 0.750
Cu2 0.500 0.000 0.250

Principal peaks in the range 2θ from 10° to 90°, sorted by position:
| d [Å] | Rel. int. |
| --- | --- |
| 2.849 | 39 |
| 2.699 | 86 |
| 2.525 | 100 |
| 2.015 | 52 |
| 1.918 | 50 |
| 1.615 | 36 |


[5]
The following is a computed XRD peak list of Er2Al4GaCu3. It was derived from the GGA-PBE geometry in Alexandria, using Cu Kα X-rays.
Lines closer than 0.1° are merged.

a = 4.133 Å, b = 4.133 Å, c = 10.252 Å
α = 90.00°, β = 90.00°, γ = 90.00°
Atoms (fractional coordinates):
Er1 0.000 0.500 0.247
Er2 0.500 0.000 0.753
Al1 0.000 0.000 0.000
Al2 0.000 0.500 0.642
Al3 0.500 0.000 0.358
Al4 0.500 0.500 0.000
Ga1 0.000 0.000 0.500
Cu1 0.000 0.500 0.870
Cu2 0.500 0.000 0.130
Cu3 0.500 0.500 0.500

Principal peaks in the range 2θ from 10° to 90°, sorted by position:
| d [Å] | Rel. int. |
| --- | --- |
| 3.833 | 33 |
| 2.634 | 73 |
| 2.539 | 100 |
| 2.067 | 47 |
| 1.837 | 31 |
| 1.626 | 34 |


[6]
The following is a computed XRD peak list of Er2Al3Cu12Ni. It was derived from the GGA-PBE geometry in Alexandria, using Cu Kα X-rays.
Lines closer than 0.1° are merged.

a = 12.131 Å, b = 12.131 Å, c = 12.131 Å
α = 24.86°, β = 24.86°, γ = 24.86°
Atoms (fractional coordinates):
Er1 0.145 0.145 0.145
Er2 0.855 0.855 0.855
Al1 0.000 0.500 0.500
Al2 0.500 0.000 0.500
Al3 0.500 0.500 0.000
Cu1 0.103 0.103 0.624
Cu2 0.103 0.624 0.103
Cu3 0.113 0.611 0.611
Cu4 0.376 0.897 0.897
Cu5 0.389 0.389 0.887
Cu6 0.389 0.887 0.389
Cu7 0.611 0.113 0.611
Cu8 0.611 0.611 0.113
Cu9 0.624 0.103 0.103
Cu10 0.887 0.389 0.389
Cu11 0.897 0.376 0.897
Cu12 0.897 0.897 0.376
Ni1 0.500 0.500 0.500

Principal peaks in the range 2θ from 10° to 90°, sorted by position:
| d [Å] | Rel. int. |
| --- | --- |
| 2.781 | 60 |
| 2.549 | 56 |
| 2.386 | 50 |
| 2.200 | 46 |
| 2.191 | 100 |
| 2.012 | 82 |


[7]
The following is a computed XRD peak list of ErAl3CuNi. It was derived from the GGA-PBE geometry in Alexandria, using Cu Kα X-rays.
Lines closer than 0.1° are merged.

a = 6.735 Å, b = 6.735 Å, c = 5.621 Å
α = 90.00°, β = 90.00°, γ = 126.59°
Atoms (fractional coordinates):
Er1 0.220 0.780 0.750
Er2 0.780 0.220 0.250
Al1 0.212 0.212 0.000
Al2 0.212 0.212 0.500
Al3 0.359 0.641 0.250
Al4 0.641 0.359 0.750
Al5 0.788 0.788 0.000
Al6 0.788 0.788 0.500
Cu1 0.148 0.852 0.250
Cu2 0.852 0.148 0.750
Ni1 0.431 0.569 0.750
Ni2 0.569 0.431 0.250

Principal peaks in the range 2θ from 10° to 90°, sorted by position:
| d [Å] | Rel. int. |
| --- | --- |
| 3.897 | 100 |
| 3.026 | 82 |
| 2.810 | 65 |
| 2.704 | 53 |
| 2.078 | 88 |
| 2.059 | 99 |


[8]
The following is a computed XRD peak list of ErAl2CuPd4. It was derived from the GGA-PBE geometry in Alexandria, using Cu Kα X-rays.
Lines closer than 0.1° are merged.

a = 8.274 Å, b = 8.274 Å, c = 8.274 Å
α = 30.60°, β = 30.60°, γ = 30.60°
Atoms (fractional coordinates):
Er1 0.000 0.000 0.000
Al1 0.238 0.238 0.238
Al2 0.762 0.762 0.762
Cu1 0.500 0.500 0.500
Pd1 0.126 0.126 0.126
Pd2 0.393 0.393 0.393
Pd3 0.607 0.607 0.607
Pd4 0.874 0.874 0.874

Principal peaks in the range 2θ from 10° to 90°, sorted by position:
| d [Å] | Rel. int. |
| --- | --- |
| 3.602 | 38 |
| 2.329 | 92 |
| 2.183 | 100 |
| 2.005 | 21 |
| 1.593 | 28 |
| 1.287 | 27 |


[9]
The following is a computed XRD peak list of ErAlZn2Cu4. It was derived from the GGA-PBE geometry in Alexandria, using Cu Kα X-rays.
Lines closer than 0.1° are merged.

a = 8.375 Å, b = 8.375 Å, c = 8.375 Å
α = 29.06°, β = 29.06°, γ = 29.06°
Atoms (fractional coordinates):
Er1 0.000 0.000 0.000
Al1 0.500 0.500 0.500
Zn1 0.244 0.244 0.244
Zn2 0.756 0.756 0.756
Cu1 0.129 0.129 0.129
Cu2 0.399 0.399 0.399
Cu3 0.601 0.601 0.601
Cu4 0.871 0.871 0.871

Principal peaks in the range 2θ from 10° to 90°, sorted by position:
| d [Å] | Rel. int. |
| --- | --- |
| 2.902 | 32 |
| 2.498 | 29 |
| 2.317 | 94 |
| 2.101 | 100 |
| 1.556 | 26 |
| 1.251 | 24 |


[10]
The following is a computed XRD peak list of Al4CuF12. It was derived from the GGA-PBE geometry in Alexandria, using Cu Kα X-rays.
Lines closer than 0.1° are merged.

a = 6.392 Å, b = 6.392 Å, c = 6.392 Å
α = 109.48°, β = 109.48°, γ = 109.46°
Atoms (fractional coordinates):
Al1 0.000 0.000 0.500
Al2 0.000 0.500 0.000
Al3 0.500 0.000 0.000
Al4 0.500 0.500 0.500
Cu1 0.000 0.000 0.000
F1 0.006 0.258 0.748
F2 0.253 0.510 0.257
F3 0.253 0.995 0.743
F4 0.257 0.252 0.508
F5 0.257 0.748 0.005
F6 0.490 0.742 0.748
F7 0.510 0.258 0.252
F8 0.743 0.252 0.995
F9 0.743 0.748 0.492
F10 0.747 0.005 0.257
F11 0.747 0.490 0.743
F12 0.994 0.742 0.252

Principal peaks in the range 2θ from 10° to 90°, sorted by position:
| d [Å] | Rel. int. |
| --- | --- |
| 5.219 | 89 |
| 3.691 | 73 |
| 3.013 | 61 |
| 2.131 | 48 |
| 1.845 | 100 |
| 1.305 | 51 |


[11]
The following is a computed XRD peak list of Al2CuF. It was derived from the GGA-PBE geometry in Alexandria, using Cu Kα X-rays.
Lines closer than 0.1° are merged.

a = 6.087 Å, b = 6.087 Å, c = 6.087 Å
α = 90.00°, β = 90.00°, γ = 90.00°
Atoms (fractional coordinates):
Al1 0.250 0.250 0.250
Al2 0.250 0.250 0.750
Al3 0.250 0.750 0.250
Al4 0.250 0.750 0.750
Al5 0.750 0.250 0.250
Al6 0.750 0.250 0.750
Al7 0.750 0.750 0.250
Al8 0.750 0.750 0.750
Cu1 0.000 0.000 0.000
Cu2 0.000 0.500 0.500
Cu3 0.500 0.000 0.500
Cu4 0.500 0.500 0.000
F1 0.000 0.000 0.500
F2 0.000 0.500 0.000
F3 0.500 0.000 0.000
F4 0.500 0.500 0.500

Principal peaks in the range 2θ from 10° to 90°, sorted by position:
| d [Å] | Rel. int. |
| --- | --- |
| 3.514 | 31 |
| 3.043 | 8 |
| 2.152 | 100 |
| 1.835 | 15 |
| 1.522 | 15 |
| 1.242 | 29 |


[12]
The following is a computed XRD peak list of KAlCuF6. It was derived from the GGA-PBE geometry in Alexandria, using Cu Kα X-rays.
Lines closer than 0.1° are merged.

a = 6.749 Å, b = 7.139 Å, c = 9.939 Å
α = 90.00°, β = 90.00°, γ = 90.00°
Atoms (fractional coordinates):
K1 0.013 0.250 0.119
K2 0.487 0.750 0.619
K3 0.513 0.250 0.381
K4 0.987 0.750 0.881
Al1 0.000 0.000 0.500
Al2 0.000 0.500 0.500
Al3 0.500 0.000 0.000
Al4 0.500 0.500 0.000
Cu1 0.187 0.250 0.763
Cu2 0.313 0.750 0.263
Cu3 0.687 0.250 0.737
Cu4 0.813 0.750 0.237
F1 0.064 0.250 0.484
F2 0.072 0.750 0.163
F3 0.115 0.507 0.666
F4 0.115 0.993 0.666
F5 0.238 0.556 0.425
F6 0.238 0.944 0.425
F7 0.262 0.056 0.925
F8 0.262 0.444 0.925
F9 0.385 0.007 0.166
F10 0.385 0.493 0.166
F11 0.428 0.250 0.663
F12 0.436 0.750 0.984
F13 0.564 0.250 0.016
F14 0.572 0.750 0.337
F15 0.615 0.507 0.834
F16 0.615 0.993 0.834
F17 0.738 0.556 0.075
F18 0.738 0.944 0.075
F19 0.762 0.056 0.575
F20 0.762 0.444 0.575
F21 0.885 0.007 0.334
F22 0.885 0.493 0.334
F23 0.928 0.250 0.837
F24 0.936 0.750 0.516

Principal peaks in the range 2θ from 10° to 90°, sorted by position:
| d [Å] | Rel. int. |
| --- | --- |
| 5.798 | 100 |
| 3.006 | 96 |
| 2.917 | 55 |
| 2.899 | 32 |
| 1.933 | 26 |
| 1.745 | 27 |